# 1
This entry pairs a crystal structure of Dy3ZnGe2 with its theoretical powder diffraction line list. Radiation: Cu Kα (λ = 1.5418 Å). Structure: a structure optimized by DFT (PBE).
Kinematic intensities with the Lorentz-polarization factor, no thermal factor.

Most intense lines, 2θ from 5° to 70°, in order of rising 2θ:
d/Å	Rel. int.
3.263	32
3.185	35
2.930	60
2.844	88
2.796	43
2.781	35
2.756	53
2.544	100
2.323	29
2.113	56

Cell and atoms:
```
Dy3ZnGe2
1.0
11.461 0.000 0.000
0.000 4.226 0.000
0.000 0.000 11.534
Dy Zn Ge
12 4 8
direct
0.056 0.250 0.123
0.129 0.750 0.565
0.204 0.250 0.803
0.296 0.750 0.303
0.371 0.250 0.065
0.444 0.750 0.623
0.556 0.250 0.377
0.629 0.750 0.935
0.704 0.250 0.697
0.796 0.750 0.197
0.871 0.250 0.435
0.944 0.750 0.877
0.137 0.250 0.363
0.363 0.750 0.863
0.637 0.250 0.137
0.863 0.750 0.637
0.018 0.750 0.319
0.185 0.750 0.001
0.315 0.250 0.501
0.482 0.250 0.819
0.518 0.750 0.181
0.685 0.750 0.499
0.815 0.250 0.999
0.982 0.250 0.681
```

***

# 2
This entry pairs a crystal structure of Dy2Zn3Ge2 with its theoretical powder diffraction line list. Radiation: Cu Kα (λ = 1.5418 Å). Structure: a structure optimized by DFT (PBE).
Kinematic intensities with the Lorentz-polarization factor, no thermal factor.

Most intense lines, 2θ from 5° to 70°, in order of rising 2θ:
d/Å	Rel. int.
9.562	31
2.750	100
2.547	47
2.509	54
2.248	27
2.220	48
2.033	29
1.903	24
1.516	22
1.499	27

Cell and atoms:
```
Dy2Zn3Ge2
1.0
1.903 -9.562 0.000
1.903 9.562 0.000
0.000 0.000 4.066
Dy Zn Ge
2 3 2
direct
0.163 0.837 0.000
0.837 0.163 0.000
0.000 0.000 0.000
0.435 0.565 0.500
0.565 0.435 0.500
0.295 0.705 0.500
0.705 0.295 0.500
```